Computed XRD peak list
Compound: Tm2TeS2
Radiation: Cu Kα (λ = 1.5418 Å)
Structure: a DFT-relaxed cell (PBE, the Materials Project)
No peak broadening, texture or thermal motion is included.

```
data_Tm2TeS2
_chemical_formula_sum 'Tm4 Te2 S4'
_cell_length_a 4.1376
_cell_length_b 5.2838
_cell_length_c 13.3480
_cell_angle_alpha 90.00
_cell_angle_beta 90.00
_cell_angle_gamma 90.00
_space_group_name_H-M_alt 'I m m m'
_space_group_IT_number 71
_space_group_name_Hall '-I 2 2'
loop_
_atom_site_label
_atom_site_type_symbol
_atom_site_fract_x
_atom_site_fract_y
_atom_site_fract_z
Tm1 Tm 0.0000 0.0000 0.1667
Te1 Te 0.0000 0.5000 0.5000
S1 S 0.0000 0.5000 0.2038
```

Largest 10 diffraction maxima, by angle, 2θ from 10° to 80°:
- (0 1 1), 2θ = 18.1°, d = 4.913 Å, I = 93
- (1 0 3), 2θ = 29.5°, d = 3.030 Å, I = 100
- (1 1 2), 2θ = 30.5°, d = 2.928 Å, I = 39
- (0 2 0), 2θ = 33.9°, d = 2.642 Å, I = 36
- (1 1 4), 2θ = 38.6°, d = 2.331 Å, I = 37
- (0 0 6), 2θ = 40.6°, d = 2.225 Å, I = 18
- (2 0 0), 2θ = 43.8°, d = 2.069 Å, I = 18
- (1 2 3), 2θ = 45.6°, d = 1.991 Å, I = 60
- (0 2 6), 2θ = 53.9°, d = 1.702 Å, I = 16
- (2 2 0), 2θ = 56.5°, d = 1.629 Å, I = 17